No. 1
Simulated powder diffractogram
Compound: ZnGaNO
Radiation: Cu Kα X-rays
Structure: a structure optimized by DFT (PBE)

Crystal structure
```
ZnGaNO
1.0
6.538 0.000 0.000
-3.269 5.662 0.000
0.000 0.000 10.554
Zn Ga N O
8 8 8 8
direct
0.000 0.000 0.000
0.008 0.504 0.494
0.161 0.321 0.741
0.161 0.839 0.741
0.496 0.504 0.494
0.496 0.992 0.494
0.667 0.333 0.259
0.679 0.839 0.741
0.000 0.000 0.499
0.173 0.346 0.260
0.173 0.827 0.260
0.502 0.005 0.011
0.502 0.498 0.011
0.654 0.827 0.260
0.667 0.333 0.753
0.995 0.498 0.011
0.000 0.000 0.685
0.007 0.504 0.190
0.161 0.323 0.439
0.161 0.839 0.439
0.496 0.504 0.190
0.496 0.993 0.190
0.667 0.333 0.941
0.677 0.839 0.439
0.000 0.000 0.192
0.174 0.348 0.947
0.174 0.826 0.947
0.507 0.013 0.702
0.507 0.493 0.702
0.652 0.826 0.947
0.667 0.333 0.450
0.987 0.493 0.702
```

Principal peaks in the range 10 to 90 degrees two-theta, low angle first:
Position (°2θ)	Rel. int.
31.6	48
34.0	38
36.0	100
47.1	22
56.3	33
62.1	29
66.0	5
67.4	28
68.7	15
76.4	5
80.3	3
88.7	10

=====

No. 2
Simulated powder diffractogram
Compound: NaPrZrTiO6
Radiation: Cu Kα X-rays
Structure: a structure optimized by DFT (PBE)

Crystal structure
```
NaPrZrTiO6
1.0
0.000 4.025 4.025
4.025 0.000 4.025
4.025 4.025 0.000
Na Pr Zr Ti O
1 1 1 1 6
direct
0.000 0.000 0.000
0.500 0.500 0.500
0.750 0.750 0.750
0.250 0.250 0.250
0.008 0.008 0.492
0.008 0.492 0.008
0.008 0.492 0.492
0.492 0.008 0.008
0.492 0.008 0.492
0.492 0.492 0.008
```

Principal peaks in the range 10 to 90 degrees two-theta, low angle first:
Position (°2θ)	Rel. int.
19.1	46
31.4	100
37.0	27
38.7	8
45.0	38
49.3	13
56.0	39
59.7	9
65.6	22
69.0	9
74.6	16
83.1	7